[1]
The following is a theoretical powder diffraction line list of TaFeSi. It was derived from a cell relaxed with PBE, using Cu Kα.
Lines closer than 0.1° are merged.

```
data_TaFeSi
_chemical_formula_sum 'Ta4 Fe4 Si4'
_space_group_name_H-M_alt 'P 1'
_space_group_IT_number 1
_space_group_name_Hall 'P 1'
_cell_length_a 6.1754
_cell_length_b 3.7383
_cell_length_c 6.9832
_cell_angle_alpha 90.00
_cell_angle_beta 90.00
_cell_angle_gamma 90.00
loop_
_atom_site_label
_atom_site_fract_x
_atom_site_fract_y
_atom_site_fract_z
_atom_site_occupancy
Ta1 0.0158 0.2500 0.1872 1
Ta2 0.4842 0.7500 0.6872 1
Ta3 0.5158 0.2500 0.3128 1
Ta4 0.9842 0.7500 0.8128 1
Fe1 0.1488 0.2500 0.5646 1
Fe2 0.3512 0.7500 0.0646 1
Fe3 0.6488 0.2500 0.9354 1
Fe4 0.8512 0.7500 0.4354 1
Si1 0.2221 0.7500 0.3848 1
Si2 0.2779 0.2500 0.8848 1
Si3 0.7221 0.7500 0.1152 1
Si4 0.7779 0.2500 0.6152 1
```

Peak list (10 most intense, 15° ≤ 2θ ≤ 90°, by angle)
| 2θ/deg | I_rel |
| --- | --- |
| 27.06 | 60 |
| 28.92 | 29 |
| 38.16 | 81 |
| 38.94 | 30 |
| 40.01 | 100 |
| 41.46 | 40 |
| 45.94 | 36 |
| 48.72 | 29 |
| 65.84 | 20 |
| 75.85 | 23 |

[2]
The following is a theoretical powder diffraction line list of AgSbSO2F6. It was derived from a cell relaxed with PBE, using Cu Kα.
Lines closer than 0.1° are merged.

```
data_AgSbSO2F6
_chemical_formula_sum 'Ag4 Sb4 S4 O8 F24'
_space_group_name_H-M_alt 'P 1'
_space_group_IT_number 1
_space_group_name_Hall 'P 1'
_cell_length_a 7.8362
_cell_length_b 8.4083
_cell_length_c 13.7396
_cell_angle_alpha 90.00
_cell_angle_beta 123.92
_cell_angle_gamma 90.00
loop_
_atom_site_label
_atom_site_fract_x
_atom_site_fract_y
_atom_site_fract_z
_atom_site_occupancy
Ag1 0.2092 0.2394 0.4668 1
Ag2 0.2092 0.2606 0.9668 1
Ag3 0.7908 0.7394 0.0332 1
Ag4 0.7908 0.7606 0.5332 1
Sb1 0.1323 0.7397 0.3765 1
Sb2 0.1323 0.7603 0.8765 1
Sb3 0.8677 0.2397 0.1235 1
Sb4 0.8677 0.2603 0.6235 1
S1 0.5004 0.0697 0.7730 1
S2 0.5004 0.4303 0.2730 1
S3 0.4996 0.5697 0.7270 1
S4 0.4996 0.9303 0.2270 1
O1 0.3718 0.0425 0.6473 1
O2 0.3718 0.4575 0.1473 1
O3 0.4210 0.0714 0.1536 1
O4 0.4210 0.4286 0.6536 1
O5 0.5790 0.5714 0.3464 1
O6 0.5790 0.9286 0.8464 1
O7 0.6282 0.5425 0.8527 1
O8 0.6282 0.9575 0.3527 1
F1 0.0773 0.6987 0.4945 1
F2 0.0773 0.8013 0.9945 1
F3 0.0787 0.5386 0.8827 1
F4 0.0787 0.9614 0.3827 1
F5 0.1529 0.2046 0.2441 1
F6 0.1529 0.2954 0.7441 1
F7 0.1742 0.7208 0.7533 1
F8 0.1742 0.7792 0.2533 1
F9 0.1931 0.5174 0.3784 1
F10 0.1931 0.9826 0.8784 1
F11 0.4202 0.7248 0.9927 1
F12 0.4202 0.7752 0.4927 1
F13 0.5798 0.2248 0.5073 1
F14 0.5798 0.2752 0.0073 1
F15 0.8069 0.0174 0.1216 1
F16 0.8069 0.4826 0.6216 1
F17 0.8258 0.2208 0.7467 1
F18 0.8258 0.2792 0.2467 1
F19 0.8471 0.7046 0.2559 1
F20 0.8471 0.7954 0.7559 1
F21 0.9213 0.0386 0.6173 1
F22 0.9213 0.4614 0.1173 1
F23 0.9227 0.1987 0.0055 1
F24 0.9227 0.3013 0.5055 1
```

Peak list (10 most intense, 15° ≤ 2θ ≤ 90°, by angle)
| 2θ/deg | I_rel |
| --- | --- |
| 18.81 | 35 |
| 21.13 | 67 |
| 22.70 | 100 |
| 25.22 | 39 |
| 25.33 | 38 |
| 25.90 | 33 |
| 28.03 | 31 |
| 28.32 | 36 |
| 43.06 | 32 |
| 49.17 | 30 |

[3]
The following is a theoretical powder diffraction line list of Na9Sn4. It was derived from a cell relaxed with PBE, using Cu Kα.
Lines closer than 0.1° are merged.

```
data_Na9Sn4
_chemical_formula_sum 'Na18 Sn8'
_space_group_name_H-M_alt 'P 1'
_space_group_IT_number 1
_space_group_name_Hall 'P 1'
_cell_length_a 5.4479
_cell_length_b 5.4479
_cell_length_c 29.2704
_cell_angle_alpha 90.00
_cell_angle_beta 90.00
_cell_angle_gamma 119.85
loop_
_atom_site_label
_atom_site_fract_x
_atom_site_fract_y
_atom_site_fract_z
_atom_site_occupancy
Na1 0.0027 0.9973 0.6710 1
Na2 0.0027 0.9973 0.8290 1
Na3 0.3254 0.6746 0.7500 1
Na4 0.3304 0.6696 0.5220 1
Na5 0.3304 0.6696 0.9780 1
Na6 0.3316 0.6684 0.0908 1
Na7 0.3316 0.6684 0.4092 1
Na8 0.3389 0.6611 0.6368 1
Na9 0.3389 0.6611 0.8632 1
Na10 0.6611 0.3389 0.1368 1
Na11 0.6611 0.3389 0.3632 1
Na12 0.6684 0.3316 0.5908 1
Na13 0.6684 0.3316 0.9092 1
Na14 0.6696 0.3304 0.0220 1
Na15 0.6696 0.3304 0.4780 1
Na16 0.6746 0.3254 0.2500 1
Na17 0.9973 0.0027 0.1710 1
Na18 0.9973 0.0027 0.3290 1
Sn1 0.0018 0.9982 0.0507 1
Sn2 0.0018 0.9982 0.4493 1
Sn3 0.3346 0.6654 0.2015 1
Sn4 0.3346 0.6654 0.2985 1
Sn5 0.6654 0.3346 0.7015 1
Sn6 0.6654 0.3346 0.7985 1
Sn7 0.9982 0.0018 0.5507 1
Sn8 0.9982 0.0018 0.9493 1
```

Peak list (10 most intense, 15° ≤ 2θ ≤ 90°, by angle)
| 2θ/deg | I_rel |
| --- | --- |
| 19.04 | 40 |
| 19.76 | 86 |
| 24.33 | 16 |
| 32.86 | 100 |
| 33.46 | 43 |
| 36.10 | 43 |
| 38.63 | 16 |
| 41.32 | 17 |
| 47.59 | 19 |
| 49.61 | 18 |

[4]
The following is a theoretical powder diffraction line list of TiCo2Sn. It was derived from a cell relaxed with PBE, using Cu Kα.
Lines closer than 0.1° are merged.

```
data_TiCo2Sn
_chemical_formula_sum 'Ti1 Co2 Sn1'
_space_group_name_H-M_alt 'P 1'
_space_group_IT_number 1
_space_group_name_Hall 'P 1'
_cell_length_a 3.1175
_cell_length_b 3.1175
_cell_length_c 5.8701
_cell_angle_alpha 90.00
_cell_angle_beta 90.00
_cell_angle_gamma 90.00
loop_
_atom_site_label
_atom_site_fract_x
_atom_site_fract_y
_atom_site_fract_z
_atom_site_occupancy
Ti1 0.0000 0.0000 0.0000 1
Co1 0.5000 0.5000 0.2306 1
Co2 0.5000 0.5000 0.7694 1
Sn1 0.0000 0.0000 0.5000 1
```

Peak list (10 most intense, 15° ≤ 2θ ≤ 90°, by angle)
| 2θ/deg | I_rel |
| --- | --- |
| 15.09 | 12 |
| 32.52 | 20 |
| 40.94 | 56 |
| 42.29 | 100 |
| 59.28 | 18 |
| 63.38 | 7 |
| 63.58 | 5 |
| 75.49 | 34 |
| 78.26 | 14 |
| 88.77 | 6 |

[5]
The following is a theoretical powder diffraction line list of NdGaAu2. It was derived from a cell relaxed with PBE, using Cu Kα.
Lines closer than 0.1° are merged.

```
data_NdGaAu2
_chemical_formula_sum 'Nd4 Ga4 Au8'
_space_group_name_H-M_alt 'P 1'
_space_group_IT_number 1
_space_group_name_Hall 'P 1'
_cell_length_a 7.0400
_cell_length_b 7.0400
_cell_length_c 7.0400
_cell_angle_alpha 90.00
_cell_angle_beta 90.00
_cell_angle_gamma 90.00
loop_
_atom_site_label
_atom_site_fract_x
_atom_site_fract_y
_atom_site_fract_z
_atom_site_occupancy
Nd1 0.0000 0.0000 0.0000 1
Nd2 0.0000 0.5000 0.5000 1
Nd3 0.5000 0.0000 0.5000 1
Nd4 0.5000 0.5000 0.0000 1
Ga1 0.0000 0.0000 0.5000 1
Ga2 0.0000 0.5000 0.0000 1
Ga3 0.5000 0.0000 0.0000 1
Ga4 0.5000 0.5000 0.5000 1
Au1 0.2500 0.2500 0.2500 1
Au2 0.2500 0.2500 0.7500 1
Au3 0.2500 0.7500 0.2500 1
Au4 0.2500 0.7500 0.7500 1
Au5 0.7500 0.2500 0.2500 1
Au6 0.7500 0.2500 0.7500 1
Au7 0.7500 0.7500 0.2500 1
Au8 0.7500 0.7500 0.7500 1
```

Peak list (10 most intense, 15° ≤ 2θ ≤ 90°, by angle)
| 2θ/deg | I_rel |
| --- | --- |
| 21.87 | 3 |
| 25.30 | 10 |
| 36.09 | 100 |
| 44.59 | 3 |
| 51.96 | 18 |
| 58.65 | 4 |
| 64.89 | 36 |
| 76.55 | 11 |
| 82.15 | 2 |
| 87.67 | 17 |

[6]
The following is a theoretical powder diffraction line list of Pr2Ni3As3. It was derived from a cell relaxed with PBE, using Cu Kα.
Lines closer than 0.1° are merged.

```
data_Pr2Ni3As3
_chemical_formula_sum 'Pr2 Ni3 As3'
_space_group_name_H-M_alt 'P 1'
_space_group_IT_number 1
_space_group_name_Hall 'P 1'
_cell_length_a 6.0835
_cell_length_b 6.4584
_cell_length_c 18.5363
_cell_angle_alpha 95.09
_cell_angle_beta 99.05
_cell_angle_gamma 90.51
loop_
_atom_site_label
_atom_site_fract_x
_atom_site_fract_y
_atom_site_fract_z
_atom_site_occupancy
Pr1 0.9997 0.9998 0.2385 1
Pr2 0.0003 0.0002 0.7615 1
Ni1 0.0000 0.0000 0.5000 1
Ni2 0.0053 0.0015 0.1176 1
Ni3 0.9947 0.9985 0.8824 1
As1 0.0000 0.0000 0.0000 1
As2 0.0034 0.0014 0.6193 1
As3 0.9966 0.9986 0.3807 1
```

Peak list (10 most intense, 15° ≤ 2θ ≤ 90°, by angle)
| 2θ/deg | I_rel |
| --- | --- |
| 19.99 | 100 |
| 20.47 | 95 |
| 27.74 | 45 |
| 29.75 | 38 |
| 31.25 | 33 |
| 31.87 | 32 |
| 32.61 | 31 |
| 33.22 | 28 |
| 45.27 | 23 |
| 47.35 | 17 |

[7]
The following is a theoretical powder diffraction line list of Lu3CrS6. It was derived from a cell relaxed with PBE, using Cu Kα.
Lines closer than 0.1° are merged.

```
data_Lu3CrS6
_chemical_formula_sum 'Lu12 Cr4 S24'
_space_group_name_H-M_alt 'P 1'
_space_group_IT_number 1
_space_group_name_Hall 'P 1'
_cell_length_a 13.0434
_cell_length_b 15.7975
_cell_length_c 3.7037
_cell_angle_alpha 90.00
_cell_angle_beta 90.00
_cell_angle_gamma 90.00
loop_
_atom_site_label
_atom_site_fract_x
_atom_site_fract_y
_atom_site_fract_z
_atom_site_occupancy
Lu1 0.0496 0.2190 0.0000 1
Lu2 0.1799 0.6493 0.0000 1
Lu3 0.2482 0.9021 0.5000 1
Lu4 0.2518 0.4021 0.0000 1
Lu5 0.3201 0.1493 0.5000 1
Lu6 0.4504 0.7190 0.5000 1
Lu7 0.5496 0.2810 0.5000 1
Lu8 0.6799 0.8507 0.5000 1
Lu9 0.7482 0.5979 0.0000 1
Lu10 0.7518 0.0979 0.5000 1
Lu11 0.8201 0.3507 0.0000 1
Lu12 0.9504 0.7810 0.0000 1
Cr1 0.0000 0.0000 0.5000 1
Cr2 0.0000 0.5000 0.5000 1
Cr3 0.5000 0.0000 0.0000 1
Cr4 0.5000 0.5000 0.0000 1
S1 0.0237 0.4012 0.0000 1
S2 0.0849 0.9232 0.0000 1
S3 0.1033 0.7540 0.5000 1
S4 0.1213 0.1091 0.5000 1
S5 0.1818 0.5226 0.5000 1
S6 0.1881 0.2890 0.5000 1
S7 0.3119 0.7890 0.0000 1
S8 0.3182 0.0226 0.0000 1
S9 0.3787 0.6091 0.0000 1
S10 0.3967 0.2540 0.0000 1
S11 0.4151 0.4232 0.5000 1
S12 0.4763 0.9012 0.5000 1
S13 0.5237 0.0988 0.5000 1
S14 0.5849 0.5768 0.5000 1
S15 0.6033 0.7460 0.0000 1
S16 0.6213 0.3909 0.0000 1
S17 0.6818 0.9774 0.0000 1
S18 0.6881 0.2110 0.0000 1
S19 0.8119 0.7110 0.5000 1
S20 0.8182 0.4774 0.5000 1
S21 0.8787 0.8909 0.5000 1
S22 0.8967 0.2460 0.5000 1
S23 0.9151 0.0768 0.0000 1
S24 0.9763 0.5988 0.0000 1
```

Peak list (10 most intense, 15° ≤ 2θ ≤ 90°, by angle)
| 2θ/deg | I_rel |
| --- | --- |
| 23.54 | 48 |
| 26.38 | 94 |
| 27.46 | 54 |
| 27.94 | 51 |
| 28.28 | 56 |
| 32.59 | 51 |
| 36.14 | 100 |
| 37.41 | 61 |
| 42.78 | 74 |
| 49.20 | 48 |

[8]
The following is a theoretical powder diffraction line list of CuSiO3. It was derived from a cell relaxed with PBE, using Cu Kα.
Lines closer than 0.1° are merged.

```
data_CuSiO3
_chemical_formula_sum 'Cu2 Si2 O6'
_space_group_name_H-M_alt 'P 1'
_space_group_IT_number 1
_space_group_name_Hall 'P 1'
_cell_length_a 8.9581
_cell_length_b 2.8603
_cell_length_c 4.9182
_cell_angle_alpha 90.00
_cell_angle_beta 90.00
_cell_angle_gamma 90.00
loop_
_atom_site_label
_atom_site_fract_x
_atom_site_fract_y
_atom_site_fract_z
_atom_site_occupancy
Cu1 0.0000 0.0000 0.0000 1
Cu2 0.5000 0.0000 0.0000 1
Si1 0.2500 0.5000 0.3779 1
Si2 0.7500 0.5000 0.6221 1
O1 0.0973 0.5000 0.1957 1
O2 0.2500 0.0000 0.5548 1
O3 0.4027 0.5000 0.1957 1
O4 0.5973 0.5000 0.8043 1
O5 0.7500 0.0000 0.4452 1
O6 0.9027 0.5000 0.8043 1
```

Peak list (10 most intense, 15° ≤ 2θ ≤ 90°, by angle)
| 2θ/deg | I_rel |
| --- | --- |
| 18.04 | 19 |
| 20.60 | 19 |
| 26.92 | 100 |
| 36.33 | 15 |
| 37.30 | 17 |
| 37.74 | 12 |
| 41.73 | 18 |
| 48.84 | 16 |
| 55.35 | 14 |
| 65.28 | 11 |